This entry pairs a crystal structure of Li3TiNi2O6 with its computed powder diffractogram. Radiation: Cu Kα X-rays. Structure: a PBE+U-relaxed structure.
Kinematic intensities with the Lorentz-polarization factor, no thermal factor.

Top 10 peaks for 15 to 90 degrees two-theta, most intense first:
two_theta  d/Å  intensity  h k l
18.4  4.829  100  0 1 -1
43.6  2.077  52  2 2 -1
62.9  1.478  29  -2 2 3
43.0  2.105  27  0 0 3
35.9  2.504  27  2 1 0
35.4  2.532  17  0 1 2
47.4  1.917  11  2 1 -3
37.3  2.413  10  0 2 -2
57.5  1.602  10  2 -3 1
37.4  2.404  9  2 0 1

Crystal structure
a b c (Å): 5.859 5.891 6.649
angles (deg): 102.85 102.71 90.05
Space group P1 (No. 1)
Unique sites:
Li 0.000 0.000 0.000 [1 per cell]
Li 0.163 0.674 0.659 [1 per cell]
Li 0.327 0.348 0.317 [1 per cell]
Li 0.498 0.003 0.006 [1 per cell]
Li 0.663 0.675 0.659 [1 per cell]
Li 0.830 0.345 0.311 [1 per cell]
Ti 0.167 0.174 0.659 [1 per cell]
Ti 0.666 0.175 0.658 [1 per cell]
Ni 0.328 0.835 0.322 [1 per cell]
Ni 0.497 0.515 0.996 [1 per cell]
Ni 0.830 0.833 0.320 [1 per cell]
Ni 0.999 0.514 0.995 [1 per cell]
O 0.094 0.607 0.326 [1 per cell]
O 0.098 0.080 0.346 [1 per cell]
O 0.228 0.269 0.971 [1 per cell]
O 0.231 0.741 0.991 [1 per cell]
O 0.414 0.401 0.658 [1 per cell]
O 0.418 0.952 0.675 [1 per cell]
O 0.564 0.609 0.323 [1 per cell]
O 0.571 0.079 0.342 [1 per cell]
O 0.756 0.270 0.975 [1 per cell]
O 0.763 0.740 0.994 [1 per cell]
O 0.909 0.396 0.643 [1 per cell]
O 0.912 0.948 0.659 [1 per cell]

This entry pairs a crystal structure of Li2Ti3NiO8 with its computed powder diffractogram. Radiation: Cu Kα X-rays. Structure: a PBE+U-relaxed structure.
Kinematic intensities with the Lorentz-polarization factor, no thermal factor.

Top 10 peaks for 15 to 90 degrees two-theta, most intense first:
two_theta  d/Å  intensity  h k l
35.2  2.546  100  1 0 3
18.1  4.896  75  1 0 -1
21.0  4.228  39  0 0 2
42.8  2.114  38  2 2 0
29.8  2.995  37  1 1 -2
62.2  1.492  30  2 2 4
62.0  1.498  28  4 0 0
56.5  1.630  21  3 2 -1
56.6  1.627  20  1 0 5
35.1  2.556  19  2 1 -1

Crystal structure
a b c (Å): 5.991 5.965 8.459
angles (deg): 90.00 90.31 90.00
Space group Pm (No. 6)
Unique sites:
Li 0.000 0.000 0.000 [1 per cell]
Li 0.236 0.000 0.382 [1 per cell]
Li 0.500 0.500 0.500 [1 per cell]
Li 0.736 0.500 0.882 [1 per cell]
Ti 0.232 0.500 0.880 [1 per cell]
Ti 0.486 0.245 0.134 [2 per cell]
Ti 0.732 0.000 0.380 [1 per cell]
Ti 0.986 0.254 0.634 [2 per cell]
Ni 0.473 0.000 0.764 [1 per cell]
Ni 0.973 0.500 0.263 [1 per cell]
O 0.007 0.271 0.860 [2 per cell]
O 0.204 0.000 0.629 [1 per cell]
O 0.218 0.500 0.641 [1 per cell]
O 0.257 0.500 0.121 [1 per cell]
O 0.277 0.000 0.133 [1 per cell]
O 0.471 0.268 0.899 [2 per cell]
O 0.507 0.229 0.360 [2 per cell]
O 0.703 0.500 0.130 [1 per cell]
O 0.718 0.000 0.140 [1 per cell]
O 0.757 0.000 0.622 [1 per cell]
O 0.778 0.500 0.632 [1 per cell]
O 0.969 0.232 0.398 [2 per cell]

This entry pairs a crystal structure of Li4Ti3Ni3O12 with its computed powder diffractogram. Radiation: Cu Kα X-rays. Structure: a PBE+U-relaxed structure.
Kinematic intensities with the Lorentz-polarization factor, no thermal factor.

Top 10 peaks for 15 to 90 degrees two-theta, most intense first:
two_theta  d/Å  intensity  h k l
24.4  3.643  100  -1 1 1
39.9  2.262  27  2 0 2
45.5  1.992  20  1 2 -1
45.6  1.988  20  -1 2 3
62.1  1.494  18  1 -2 3
37.6  2.389  15  1 -2 0
37.4  2.403  13  1 1 3
52.4  1.747  13  0 3 3
55.8  1.647  11  3 1 2
52.5  1.744  8  -1 1 4

Crystal structure
a b c (Å): 5.328 5.634 7.738
angles (deg): 68.77 83.52 89.97
Space group P1 (No. 1)
Unique sites:
Li 0.000 0.000 0.000 [1 per cell]
Li 0.169 0.082 0.339 [1 per cell]
Li 0.340 0.661 0.678 [1 per cell]
Li 0.666 0.338 0.336 [1 per cell]
Ti 0.171 0.576 0.336 [1 per cell]
Ti 0.515 0.252 0.995 [1 per cell]
Ti 0.823 0.904 0.682 [1 per cell]
Ni 0.006 0.501 0.004 [1 per cell]
Ni 0.333 0.168 0.672 [1 per cell]
Ni 0.668 0.831 0.339 [1 per cell]
O 0.036 0.243 0.514 [1 per cell]
O 0.119 0.847 0.811 [1 per cell]
O 0.217 0.318 0.865 [1 per cell]
O 0.312 0.414 0.165 [1 per cell]
O 0.366 0.910 0.193 [1 per cell]
O 0.457 0.513 0.485 [1 per cell]
O 0.540 0.991 0.523 [1 per cell]
O 0.640 0.088 0.824 [1 per cell]
O 0.689 0.576 0.848 [1 per cell]
O 0.797 0.173 0.151 [1 per cell]
O 0.882 0.656 0.194 [1 per cell]
O 0.970 0.768 0.485 [1 per cell]

This entry pairs a crystal structure of Li3Ti2NiO6 with its computed powder diffractogram. Radiation: Cu Kα X-rays. Structure: a PBE+U-relaxed structure.
Kinematic intensities with the Lorentz-polarization factor, no thermal factor.

Top 10 peaks for 15 to 90 degrees two-theta, most intense first:
two_theta  d/Å  intensity  h k l
18.1  4.904  100  2 0 -1
43.1  2.099  58  1 1 -2
35.8  2.509  41  1 1 1
43.5  2.082  27  6 0 0
62.6  1.484  15  7 1 -2
63.2  1.472  15  5 1 2
47.5  1.916  9  5 1 -1
66.6  1.404  9  7 1 1
56.6  1.626  9  3 1 -3
61.7  1.504  8  2 0 -4

Crystal structure
a b c (Å): 12.883 2.931 6.016
angles (deg): 90.00 104.17 90.00
Space group C2/m (No. 12)
Unique sites:
Li 0.000 0.000 0.000 [2 per cell]
Li 0.164 0.500 0.336 [4 per cell]
Ti 0.161 0.500 0.826 [4 per cell]
Ni 0.000 0.000 0.500 [2 per cell]
O 0.008 0.500 0.751 [4 per cell]
O 0.167 0.000 0.597 [4 per cell]
O 0.174 0.000 0.071 [4 per cell]

This entry pairs a crystal structure of Li2Ti3NiO8 with its computed powder diffractogram. Radiation: Cu Kα X-rays. Structure: a PBE+U-relaxed structure.
Kinematic intensities with the Lorentz-polarization factor, no thermal factor.

Top 10 peaks for 15 to 90 degrees two-theta, most intense first:
two_theta  d/Å  intensity  h k l
35.3  2.546  100  3 1 1
62.2  1.492  52  4 4 0
56.6  1.625  41  5 1 1
18.2  4.874  38  1 1 1
42.8  2.111  33  4 0 0
29.9  2.985  27  2 2 0
21.0  4.221  25  2 0 0
23.6  3.776  19  2 1 0
89.1  1.099  15  5 5 3
25.8  3.447  12  2 1 1

Crystal structure
a b c (Å): 8.443 8.443 8.443
angles (deg): 90.00 90.00 90.00
Space group P2_13 (No. 198)
Unique sites:
Li 0.126 0.126 0.126 [4 per cell]
Li 0.247 0.253 0.747 [4 per cell]
Ti 0.117 0.378 0.371 [12 per cell]
Ni 0.003 0.503 0.997 [4 per cell]
O 0.108 0.875 0.109 [12 per cell]
O 0.111 0.389 0.611 [4 per cell]
O 0.127 0.856 0.641 [12 per cell]
O 0.138 0.638 0.862 [4 per cell]

This entry pairs a crystal structure of Li3Ti2Ni2O8 with its computed powder diffractogram. Radiation: Cu Kα X-rays. Structure: a PBE+U-relaxed structure.
Kinematic intensities with the Lorentz-polarization factor, no thermal factor.

Top 10 peaks for 15 to 90 degrees two-theta, most intense first:
two_theta  d/Å  intensity  h k l
18.4  4.827  100  0 0 1
43.6  2.074  47  2 2 -2
35.8  2.507  26  2 2 -1
42.6  2.122  25  4 0 0
62.7  1.481  13  6 2 -2
62.5  1.486  13  2 2 2
63.4  1.467  12  4 0 -4
37.2  2.415  11  2 2 0
35.2  2.551  9  2 0 1
57.7  1.599  7  2 2 -3

Crystal structure
a b c (Å): 10.293 5.870 5.863
angles (deg): 90.00 124.44 90.00
Space group C2/m (No. 12)
Unique sites:
Li 0.000 0.000 0.000 [2 per cell]
Li 0.250 0.250 0.500 [4 per cell]
Ti 0.000 0.500 0.000 [2 per cell]
Ti 0.000 0.500 0.500 [2 per cell]
Ni 0.250 0.250 0.000 [4 per cell]
O 0.002 0.276 0.248 [8 per cell]
O 0.231 0.500 0.210 [4 per cell]
O 0.234 0.500 0.744 [4 per cell]